# Pm5Ni6
Simulated powder diffraction line list, Cu Kα (weighted mean of Kα1 and Kα2). Input: a structure optimized by DFT (PBE).

a b c (Å): 4.1513 28.2276 3.8847
angles (deg): 90.00 90.00 90.00
Space group Cmmm (No. 65)
Asymmetric unit:
Pm: 0.0000 0.0000 0.0000
Pm: 0.0000 0.1973 0.5000
Pm: 0.0000 0.3868 0.0000
Ni: 0.0000 0.0875 0.5000
Ni: 0.0000 0.2763 0.0000
Ni: 0.0000 0.4587 0.5000

Peak list (10 most intense, 2θ = 10–80°, in order of rising 2θ)
d_spacing	intensity	hkl
3.344	34.8	1 5 0
2.823	28.1	0 10 0
2.716	100.0	1 3 1
2.612	54.0	0 8 1
2.320	27.9	1 7 1
2.183	22.5	1 11 0
2.104	18.2	1 9 1
2.076	28.4	2 0 0
1.942	23.1	0 0 2
1.625	25.3	2 8 1

***

# Dy5CdCo2
Simulated powder diffraction line list, Cu Kα (weighted mean of Kα1 and Kα2). Input: a structure optimized by DFT (PBE).

a b c (Å): 7.6414 7.6414 13.2750
angles (deg): 90.00 90.00 90.00
Space group I4/mcm (No. 140)
Asymmetric unit:
Dy: 0.0000 0.0000 0.0000
Dy: 0.1597 0.3403 0.1315
Cd: 0.0000 0.0000 0.2500
Co: 0.1370 0.3630 0.5000

Peak list (10 most intense, 2θ = 10–80°, in order of rising 2θ)
d_spacing	intensity	hkl
3.310	40.6	2 1 1
2.828	34.4	1 1 4
2.704	100.0	2 1 3
2.505	41.5	2 0 4
2.416	63.8	3 1 0
2.096	26.0	2 1 5
1.659	20.9	0 0 8
1.583	24.3	3 3 4
1.368	19.7	3 1 8
1.351	17.8	4 4 0

***

# U4Ga12Pd
Simulated powder diffraction line list, Cu Kα (weighted mean of Kα1 and Kα2). Input: a structure optimized by DFT (PBE).

a b c (Å): 8.6207 8.6207 8.6207
angles (deg): 90.00 90.00 90.00
Space group Im-3m (No. 229)
Asymmetric unit:
U: 0.2500 0.2500 0.2500
Ga: 0.0000 0.0000 0.2948
Ga: 0.0000 0.2500 0.5000
Pd: 0.0000 0.0000 0.0000

Peak list (10 most intense, 2θ = 10–80°, in order of rising 2θ)
d_spacing	intensity	hkl
4.310	25.6	2 0 0
3.048	57.9	2 2 0
2.489	100.0	2 2 2
2.155	62.6	4 0 0
1.928	18.1	4 2 0
1.760	19.9	4 2 2
1.524	38.1	4 4 0
1.363	15.5	6 2 0
1.300	33.0	6 2 2
1.244	11.9	4 4 4

***

# Cu3PtAu6
Simulated powder diffraction line list, Cu Kα (weighted mean of Kα1 and Kα2). Input: a structure optimized by DFT (PBE).

a b c (Å): 7.5027 5.9413 10.5509
angles (deg): 90.00 134.40 90.00
Space group P2_1/c (No. 14)
Asymmetric unit:
Cu: 0.0000 0.0000 0.0000
Cu: 0.2105 0.2200 0.7435
Pt: 0.5000 0.0000 0.5000
Au: 0.0996 0.1251 0.4390
Au: 0.2687 0.6023 0.4410
Au: 0.4143 0.7017 0.2481

Peak list (10 most intense, 2θ = 10–80°, in order of rising 2θ)
d_spacing	intensity	hkl
2.763	78.0	1 2 -1
2.443	67.4	2 1 0
2.411	61.8	2 1 -4
2.371	69.3	1 0 -4
2.333	79.0	0 2 2
2.305	100.0	3 1 -3
2.234	56.7	1 2 1
2.221	61.0	1 2 -3
2.213	52.0	3 1 -2
1.981	57.1	2 1 1